1.
# CsYB4H16
Computed XRD peak list, a wavelength of 1.5418 Å. Input: DFT lattice parameters and positions (PBE).
No peak broadening, texture or thermal motion is included.

The 10 most intense peaks (2θ = 10–90°), in order of rising 2θ:
Position (°2θ)  intensity
18.86  100
23.20  20
30.02  27
32.90  20
33.04  9
38.31  40
45.10  9
47.34  18
51.46  11
62.34  10

Structural model:
Lattice parameters (Å, degrees): 10.889 10.889 10.889 138.76 138.76 59.74
Fractional positions:
Cs1 0.375 0.125 0.250
Cs2 0.625 0.875 0.750
Y1 0.125 0.375 0.750
Y2 0.875 0.625 0.250
B1 0.081 0.696 0.884
B2 0.196 0.812 0.615
B3 0.303 0.419 0.115
B4 0.312 0.197 0.616
B5 0.688 0.803 0.384
B6 0.697 0.581 0.885
B7 0.804 0.188 0.385
B8 0.919 0.304 0.116
H1 0.046 0.425 0.340
H2 0.059 0.850 0.948
H3 0.075 0.915 0.621
H4 0.082 0.689 0.992
H5 0.151 0.724 0.418
H6 0.189 0.696 0.607
H7 0.195 0.268 0.918
H8 0.196 0.089 0.508
H9 0.206 0.546 0.121
H10 0.224 0.305 0.573
H11 0.232 0.651 0.927
H12 0.350 0.902 0.791
H13 0.389 0.441 0.291
H14 0.402 0.111 0.552
H15 0.411 0.418 0.107
H16 0.415 0.294 0.840
H17 0.585 0.706 0.160
H18 0.589 0.582 0.893
H19 0.598 0.889 0.448
H20 0.611 0.559 0.709
H21 0.650 0.098 0.209
H22 0.768 0.349 0.073
H23 0.776 0.695 0.427
H24 0.794 0.454 0.879
H25 0.804 0.911 0.492
H26 0.805 0.732 0.082
H27 0.811 0.304 0.393
H28 0.849 0.276 0.582
H29 0.918 0.311 0.008
H30 0.925 0.085 0.379
H31 0.941 0.150 0.052
H32 0.954 0.575 0.660


2.
# NbSe3
Computed XRD peak list, a wavelength of 1.5418 Å. Input: DFT lattice parameters and positions (PBE).
No peak broadening, texture or thermal motion is included.

The 10 most intense peaks (2θ = 10–90°), in order of rising 2θ:
Position (°2θ)  intensity
11.35  44
11.64  62
13.18  100
29.05  81
31.23  35
31.31  61
35.40  37
37.31  29
42.63  35
44.67  29

Structural model:
Lattice parameters (Å, degrees): 15.481 3.458 20.650 90.00 100.72 90.00
Fractional positions:
Nb1 0.037 0.250 0.263
Nb2 0.116 0.250 0.948
Nb3 0.265 0.750 0.043
Nb4 0.735 0.250 0.957
Nb5 0.884 0.750 0.052
Nb6 0.963 0.750 0.737
Se1 0.075 0.250 0.703
Se2 0.089 0.750 0.848
Se3 0.091 0.750 0.035
Se4 0.091 0.750 0.354
Se5 0.130 0.250 0.180
Se6 0.221 0.750 0.795
Se7 0.262 0.750 0.169
Se8 0.273 0.250 0.943
Se9 0.386 0.250 0.076
Se10 0.614 0.750 0.924
Se11 0.727 0.750 0.057
Se12 0.738 0.250 0.831
Se13 0.779 0.250 0.205
Se14 0.870 0.750 0.820
Se15 0.909 0.250 0.646
Se16 0.909 0.250 0.965
Se17 0.911 0.250 0.152
Se18 0.925 0.750 0.297


3.
# LiUNbO6
Computed XRD peak list, a wavelength of 1.5418 Å. Input: DFT lattice parameters and positions (PBE).
No peak broadening, texture or thermal motion is included.

The 10 most intense peaks (2θ = 10–90°), in order of rising 2θ:
Position (°2θ)  intensity
16.16  20
17.31  65
22.10  11
26.09  22
26.78  11
27.47  100
32.65  14
34.99  35
44.19  11
48.57  21

Structural model:
Lattice parameters (Å, degrees): 10.428 6.495 7.624 90.00 100.68 90.00
Fractional positions:
Li1 0.002 0.002 0.321
Li2 0.002 0.498 0.821
Li3 0.998 0.502 0.179
Li4 0.998 0.998 0.679
U1 0.307 0.199 0.579
U2 0.307 0.301 0.079
U3 0.693 0.699 0.921
U4 0.693 0.801 0.421
Nb1 0.276 0.749 0.820
Nb2 0.276 0.751 0.320
Nb3 0.724 0.249 0.680
Nb4 0.724 0.251 0.180
O1 0.099 0.750 0.275
O2 0.099 0.750 0.775
O3 0.125 0.160 0.534
O4 0.125 0.340 0.034
O5 0.297 0.055 0.285
O6 0.297 0.445 0.785
O7 0.303 0.049 0.870
O8 0.303 0.451 0.370
O9 0.312 0.672 0.079
O10 0.312 0.828 0.579
O11 0.487 0.218 0.625
O12 0.487 0.282 0.125
O13 0.513 0.718 0.875
O14 0.513 0.782 0.375
O15 0.688 0.172 0.421
O16 0.688 0.328 0.921
O17 0.697 0.549 0.630
O18 0.697 0.951 0.130
O19 0.703 0.555 0.215
O20 0.703 0.945 0.715
O21 0.875 0.660 0.966
O22 0.875 0.840 0.466
O23 0.901 0.250 0.225
O24 0.901 0.250 0.725


4.
# K3V5S10
Computed XRD peak list, a wavelength of 1.5418 Å. Input: DFT lattice parameters and positions (PBE).
No peak broadening, texture or thermal motion is included.

The 10 most intense peaks (2θ = 10–90°), in order of rising 2θ:
Position (°2θ)  intensity
11.45  100
31.37  16
31.56  10
36.16  59
36.33  29
41.04  11
50.09  12
53.88  9
54.20  10
54.25  9

Structural model:
Lattice parameters (Å, degrees): 5.848 8.673 8.994 107.39 108.92 103.03
Fractional positions:
K1 0.000 0.000 0.000
K2 0.192 0.009 0.402
K3 0.405 0.004 0.795
V1 0.127 0.504 0.601
V2 0.351 0.501 0.025
V3 0.534 0.506 0.384
V4 0.743 0.503 0.777
V5 0.951 0.504 0.206
S1 0.112 0.323 0.329
S2 0.180 0.683 0.880
S3 0.320 0.333 0.737
S4 0.381 0.695 0.279
S5 0.515 0.313 0.129
S6 0.567 0.683 0.665
S7 0.705 0.317 0.518
S8 0.769 0.674 0.066
S9 0.915 0.325 0.927
S10 0.970 0.687 0.473


5.
# NdCu2Ge2
Computed XRD peak list, a wavelength of 1.5418 Å. Input: DFT lattice parameters and positions (PBE).
No peak broadening, texture or thermal motion is included.

The 10 most intense peaks (2θ = 10–90°), in order of rising 2θ:
Position (°2θ)  intensity
30.48  21
33.85  80
35.20  100
43.65  61
49.30  31
56.35  37
62.59  15
63.44  19
67.94  23
74.68  21

Structural model:
Lattice parameters (Å, degrees): 4.147 4.147 10.324 90.00 90.00 90.00
Fractional positions:
Nd1 0.000 0.000 0.000
Nd2 0.500 0.500 0.500
Cu1 0.000 0.500 0.250
Cu2 0.000 0.500 0.750
Cu3 0.500 0.000 0.250
Cu4 0.500 0.000 0.750
Ge1 0.000 0.000 0.378
Ge2 0.000 0.000 0.622
Ge3 0.500 0.500 0.122
Ge4 0.500 0.500 0.878


6.
# OsC3I2O3
Computed XRD peak list, a wavelength of 1.5418 Å. Input: DFT lattice parameters and positions (PBE).
No peak broadening, texture or thermal motion is included.

The 10 most intense peaks (2θ = 10–90°), in order of rising 2θ:
Position (°2θ)  intensity
14.05  100
16.47  23
16.58  19
21.53  28
25.56  23
29.77  73
31.98  33
36.79  23
44.06  19
44.44  25

Structural model:
Lattice parameters (Å, degrees): 6.824 6.824 9.836 104.08 104.08 69.76
Fractional positions:
Os1 0.068 0.068 0.222
Os2 0.932 0.932 0.778
C1 0.087 0.723 0.643
C2 0.237 0.237 0.215
C3 0.277 0.913 0.357
C4 0.723 0.087 0.643
C5 0.763 0.763 0.785
C6 0.913 0.277 0.357
I1 0.178 0.178 0.769
I2 0.240 0.760 0.000
I3 0.760 0.240 0.000
I4 0.822 0.822 0.231
O1 0.189 0.594 0.566
O2 0.341 0.341 0.217
O3 0.406 0.811 0.434
O4 0.594 0.189 0.566
O5 0.659 0.659 0.783
O6 0.811 0.406 0.434


7.
# LiSbP4O12
Computed XRD peak list, a wavelength of 1.5418 Å. Input: DFT lattice parameters and positions (PBE).
No peak broadening, texture or thermal motion is included.

The 10 most intense peaks (2θ = 10–90°), in order of rising 2θ:
Position (°2θ)  intensity
14.09  66
17.44  100
18.93  24
19.26  29
26.37  69
28.10  23
28.42  41
28.67  62
32.27  21
38.54  28

Structural model:
Lattice parameters (Å, degrees): 7.206 7.206 10.431 101.88 101.88 111.94
Fractional positions:
Li1 0.141 0.859 0.750
Li2 0.859 0.141 0.250
Sb1 0.133 0.867 0.250
Sb2 0.867 0.133 0.750
P1 0.237 0.312 0.551
P2 0.270 0.622 0.989
P3 0.312 0.237 0.051
P4 0.378 0.730 0.511
P5 0.622 0.270 0.489
P6 0.688 0.763 0.949
P7 0.730 0.378 0.011
P8 0.763 0.688 0.449
O1 0.063 0.504 0.875
O2 0.094 0.191 0.406
O3 0.189 0.244 0.670
O4 0.191 0.094 0.906
O5 0.194 0.704 0.396
O6 0.244 0.189 0.170
O7 0.279 0.557 0.583
O8 0.296 0.806 0.104
O9 0.340 0.475 0.061
O10 0.443 0.721 0.917
O11 0.475 0.340 0.561
O12 0.496 0.937 0.625
O13 0.504 0.063 0.375
O14 0.525 0.660 0.439
O15 0.557 0.279 0.083
O16 0.660 0.525 0.939
O17 0.704 0.194 0.896
O18 0.721 0.443 0.417
O19 0.756 0.811 0.830
O20 0.806 0.296 0.604
O21 0.809 0.906 0.094
O22 0.811 0.756 0.330
O23 0.906 0.809 0.594
O24 0.937 0.496 0.125